# 1
Calculated powder diffraction line list of Tm5Ge6 for Cu Kα, from a DFT-relaxed cell (GGA-PBE, Alexandria).
No peak broadening, texture or thermal motion is included.

Main lines, most intense first (10° ≤ 2θ ≤ 80°):
(1 3 1), 32.57 deg, rel. 100; (0 8 1), 32.76 deg, rel. 36; (1 9 1), 42.18 deg, rel. 27; (0 0 2), 43.49 deg, rel. 25; (1 5 0), 27.28 deg, rel. 24; (0 10 0), 30.83 deg, rel. 22

Structural model:
a = 3.958 Å, b = 29.000 Å, c = 4.161 Å
α = 90.00°, β = 90.00°, γ = 90.00°
Space group Cmmm (No. 65)
Inequivalent atoms, fractional coordinates:
1 Tm 0.000 0.000 0.000 [2 per cell]
2 Tm 0.000 0.200 0.500 [4 per cell]
3 Tm 0.000 0.384 0.000 [4 per cell]
4 Ge 0.000 0.102 0.500 [4 per cell]
5 Ge 0.000 0.282 0.000 [4 per cell]
6 Ge 0.000 0.458 0.500 [4 per cell]



# 2
Calculated powder diffraction line list of Y4Tl3In for Cu Kα, from a DFT-relaxed cell (GGA-PBE, Alexandria).
No peak broadening, texture or thermal motion is included.

Main lines, most intense first (10° ≤ 2θ ≤ 80°):
(1 1 0), 33.44 deg, rel. 100; (2 1 4), 59.81 deg, rel. 25; (1 1 8), 59.69 deg, rel. 12; (1 0 0), 23.47 deg, rel. 12; (2 0 0), 48.07 deg, rel. 12; (2 0 8), 70.20 deg, rel. 8

Structural model:
a = 3.785 Å, b = 3.785 Å, c = 15.195 Å
α = 90.00°, β = 90.00°, γ = 90.00°
Space group P4/mmm (No. 123)
Inequivalent atoms, fractional coordinates:
1 Y 0.000 0.000 0.123 [2 per cell]
2 Y 0.000 0.000 0.374 [2 per cell]
3 Tl 0.500 0.500 0.249 [2 per cell]
4 Tl 0.500 0.500 0.500 [1 per cell]
5 In 0.500 0.500 0.000 [1 per cell]



# 3
Calculated powder diffraction line list of PmHo8Sc3 for Cu Kα, from a DFT-relaxed cell (GGA-PBE, Alexandria).
No peak broadening, texture or thermal motion is included.

Main lines, most intense first (10° ≤ 2θ ≤ 80°):
(1 1 2), 31.59 deg, rel. 100; (6 0 0), 36.58 deg, rel. 34; (7 1 2), 62.75 deg, rel. 28; (6 2 0), 52.82 deg, rel. 23; (0 2 0), 36.75 deg, rel. 17; (1 3 2), 62.97 deg, rel. 14

Structural model:
a = 17.704 Å, b = 4.892 Å, c = 9.828 Å
α = 90.00°, β = 123.67°, γ = 90.00°
Space group Cm (No. 8)
Inequivalent atoms, fractional coordinates:
1 Pm 0.000 0.000 0.000 [2 per cell]
2 Ho 0.000 0.500 0.745 [2 per cell]
3 Ho 0.165 0.000 0.413 [2 per cell]
4 Ho 0.166 0.500 0.666 [2 per cell]
5 Ho 0.169 0.500 0.165 [2 per cell]
6 Ho 0.332 0.000 0.834 [2 per cell]
7 Ho 0.333 0.500 0.085 [2 per cell]
8 Ho 0.333 0.500 0.578 [2 per cell]
9 Ho 0.497 0.500 0.493 [2 per cell]
10 Sc 0.167 0.000 0.916 [2 per cell]
11 Sc 0.333 0.000 0.327 [2 per cell]
12 Sc 0.499 0.000 0.251 [2 per cell]



# 4
Calculated powder diffraction line list of Mn3FeW2 for Cu Kα, from a DFT-relaxed cell (GGA-PBE, Alexandria).
No peak broadening, texture or thermal motion is included.

Main lines, most intense first (10° ≤ 2θ ≤ 80°):
(1 1 3), 45.08 deg, rel. 100; (1 1 0), 38.34 deg, rel. 78; (1 0 4), 37.90 deg, rel. 77; (0 1 5), 44.69 deg, rel. 52; (0 2 1), 45.27 deg, rel. 48; (1 0 1), 23.16 deg, rel. 40

Structural model:
a = 4.6950 Å, b = 4.6950 Å, c = 11.6961 Å
α = 90.00°, β = 90.00°, γ = 120.00°
Space group R-3m (No. 166, hexagonal axes)
Inequivalent atoms, fractional coordinates:
1 Mn 0.0000 0.5000 0.0000 [9 per cell]
2 Fe 0.0000 0.0000 0.5000 [3 per cell]
3 W 0.0000 0.0000 0.1248 [6 per cell]



# 5
Calculated powder diffraction line list of UAg5Se8 for Cu Kα, from a DFT-relaxed cell (GGA-PBE, Alexandria).
No peak broadening, texture or thermal motion is included.

Main lines, most intense first (10° ≤ 2θ ≤ 80°):
(3 0 1), 31.90 deg, rel. 100; (3 3 2), 48.33 deg, rel. 46; (1 0 1), 14.42 deg, rel. 40; (1 0 3), 33.29 deg, rel. 34; (2 0 2), 29.08 deg, rel. 32; (3 0 3), 44.24 deg, rel. 32

Structural model:
a = 8.920 Å, b = 8.920 Å, c = 8.469 Å
α = 90.00°, β = 90.00°, γ = 90.00°
Space group I-4m2 (No. 119)
Inequivalent atoms, fractional coordinates:
1 U 0.000 0.000 0.000 [2 per cell]
2 Ag 0.000 0.500 0.250 [2 per cell]
3 Ag 0.200 0.300 0.750 [8 per cell]
4 Se 0.000 0.134 0.310 [8 per cell]
5 Se 0.000 0.312 0.982 [8 per cell]



# 6
Calculated powder diffraction line list of YMg14Mn for Cu Kα, from a DFT-relaxed cell (GGA-PBE, Alexandria).
No peak broadening, texture or thermal motion is included.

Main lines, most intense first (10° ≤ 2θ ≤ 80°):
(2 2 2), 37.00 deg, rel. 100; (2 0 4), 36.23 deg, rel. 60; (4 0 0), 34.81 deg, rel. 41; (0 2 2), 32.50 deg, rel. 32; (4 2 2), 48.36 deg, rel. 20; (4 2 6), 68.45 deg, rel. 20

Structural model:
a = 10.308 Å, b = 6.309 Å, c = 11.313 Å
α = 90.00°, β = 90.00°, γ = 90.00°
Space group Amm2 (No. 38)
Inequivalent atoms, fractional coordinates:
1 Y 0.000 0.000 0.000 [2 per cell]
2 Mg 0.000 0.244 0.250 [4 per cell]
3 Mg 0.230 0.000 0.645 [4 per cell]
4 Mg 0.248 0.247 0.404 [8 per cell]
5 Mg 0.257 0.000 0.156 [4 per cell]
6 Mg 0.500 0.000 0.491 [2 per cell]
7 Mg 0.500 0.000 0.988 [2 per cell]
8 Mg 0.500 0.246 0.739 [4 per cell]
9 Mn 0.000 0.000 0.481 [2 per cell]



# 7
Calculated powder diffraction line list of Be2FeIrCl for Cu Kα, from a DFT-relaxed cell (GGA-PBE, Alexandria).
No peak broadening, texture or thermal motion is included.

Main lines, most intense first (10° ≤ 2θ ≤ 80°):
(1 0 1), 31.21 deg, rel. 100; (1 1 0), 30.83 deg, rel. 85; (2 1 1), 55.07 deg, rel. 41; (1 1 1), 38.31 deg, rel. 40; (2 0 0), 44.17 deg, rel. 37; (1 1 2), 55.77 deg, rel. 31

Structural model:
a = 4.101 Å, b = 4.101 Å, c = 4.007 Å
α = 90.00°, β = 90.00°, γ = 90.00°
Space group P4/mmm (No. 123)
Inequivalent atoms, fractional coordinates:
1 Be 0.000 0.500 0.000 [2 per cell]
2 Fe 0.000 0.000 0.000 [1 per cell]
3 Ir 0.500 0.500 0.500 [1 per cell]
4 Cl 0.000 0.000 0.500 [1 per cell]



# 8
Calculated powder diffraction line list of La2HoHgC for Cu Kα, from a DFT-relaxed cell (GGA-PBE, Alexandria).
No peak broadening, texture or thermal motion is included.

Main lines, most intense first (10° ≤ 2θ ≤ 80°):
(1 1 1), 30.32 deg, rel. 100; (2 0 0), 34.11 deg, rel. 39; (3 1 1), 58.73 deg, rel. 31; (2 0 2), 51.33 deg, rel. 25; (0 0 2), 37.16 deg, rel. 16; (2 2 0), 49.02 deg, rel. 14

Structural model:
a = 5.256 Å, b = 5.256 Å, c = 4.839 Å
α = 90.00°, β = 90.00°, γ = 90.00°
Space group P4/mmm (No. 123)
Inequivalent atoms, fractional coordinates:
1 La 0.000 0.500 0.000 [2 per cell]
2 Ho 0.000 0.000 0.500 [1 per cell]
3 Hg 0.500 0.500 0.500 [1 per cell]
4 C 0.000 0.000 0.000 [1 per cell]



# 9
Calculated powder diffraction line list of PuMg4Sn2 for Cu Kα, from a DFT-relaxed cell (GGA-PBE, Alexandria).
No peak broadening, texture or thermal motion is included.

Main lines, most intense first (10° ≤ 2θ ≤ 80°):
(2 1 1), 30.11 deg, rel. 100; (1 1 0), 14.39 deg, rel. 58; (3 0 1), 36.64 deg, rel. 46; (2 2 0), 29.01 deg, rel. 38; (1 1 1), 24.19 deg, rel. 24; (5 2 1), 60.75 deg, rel. 24

Structural model:
a = 8.705 Å, b = 8.705 Å, c = 4.588 Å
α = 90.00°, β = 90.00°, γ = 90.00°
Space group P4_2/mnm (No. 136)
Inequivalent atoms, fractional coordinates:
1 Pu 0.000 0.000 0.000 [2 per cell]
2 Mg 0.098 0.347 0.500 [8 per cell]
3 Sn 0.199 0.801 0.500 [4 per cell]



# 10
Calculated powder diffraction line list of K2HfBeO4 for Cu Kα, from a DFT-relaxed cell (GGA-PBE, Alexandria).
No peak broadening, texture or thermal motion is included.

Main lines, most intense first (10° ≤ 2θ ≤ 80°):
(1 1 0), 20.68 deg, rel. 100; (1 2 1), 34.89 deg, rel. 76; (0 1 1), 19.31 deg, rel. 67; (0 0 1), 13.27 deg, rel. 62; (1 0 2), 30.88 deg, rel. 58; (2 0 0), 30.65 deg, rel. 51

Structural model:
a = 5.835 Å, b = 6.344 Å, c = 6.672 Å
α = 90.00°, β = 90.00°, γ = 90.00°
Space group Pmmn (No. 59, origin choice 2)
Inequivalent atoms, fractional coordinates:
1 K 0.250 0.003 0.202 [4 per cell]
2 Hf 0.250 0.250 0.646 [2 per cell]
3 Be 0.250 0.750 0.667 [2 per cell]
4 O 0.019 0.750 0.524 [4 per cell]
5 O 0.250 0.516 0.804 [4 per cell]



# 11
Calculated powder diffraction line list of TbY5Er4 for Cu Kα, from a DFT-relaxed cell (GGA-PBE, Alexandria).
No peak broadening, texture or thermal motion is included.

Main lines, most intense first (10° ≤ 2θ ≤ 80°):
(3 0 1), 29.93 deg, rel. 100; (3 1 0), 27.73 deg, rel. 64; (2 3 1), 34.85 deg, rel. 57; (1 1 2), 31.02 deg, rel. 53; (1 4 1), 39.22 deg, rel. 31; (0 0 2), 28.36 deg, rel. 30

Structural model:
a = 10.174 Å, b = 10.174 Å, c = 6.294 Å
α = 90.00°, β = 90.00°, γ = 90.00°
Space group I4 (No. 79)
Inequivalent atoms, fractional coordinates:
1 Tb 0.000 0.000 0.000 [2 per cell]
2 Y 0.000 0.000 0.456 [2 per cell]
3 Y 0.145 0.765 0.731 [8 per cell]
4 Er 0.050 0.650 0.230 [8 per cell]



# 12
Calculated powder diffraction line list of SmTm2Bi2 for Cu Kα, from a DFT-relaxed cell (GGA-PBE, Alexandria).
No peak broadening, texture or thermal motion is included.

Main lines, most intense first (10° ≤ 2θ ≤ 80°):
(1 5 0), 30.41 deg, rel. 100; (1 1 2), 32.76 deg, rel. 76; (1 5 1), 33.29 deg, rel. 65; (2 0 0), 36.67 deg, rel. 51; (1 3 2), 35.63 deg, rel. 31; (0 0 2), 26.62 deg, rel. 24

Structural model:
a = 4.901 Å, b = 18.367 Å, c = 6.696 Å
α = 90.00°, β = 90.00°, γ = 90.00°
Space group Cmc2_1 (No. 36)
Inequivalent atoms, fractional coordinates:
1 Sm 0.000 0.119 0.000 [4 per cell]
2 Tm 0.000 0.321 0.877 [4 per cell]
3 Tm 0.000 0.487 0.237 [4 per cell]
4 Bi 0.000 0.066 0.476 [4 per cell]
5 Bi 0.000 0.286 0.343 [4 per cell]